1.
For LiFeF4, a cell relaxed with PBE+U gives the theoretical powder diffractogram in this record (copper Kα).
Lines closer than 0.1° are merged.

Main lines, sorted by position (2θ = 15–90°):
| (hkl) | two_theta | I_rel |
| --- | --- | --- |
| 2 0 0 | 15.19 | 100 |
| 1 1 -1 | 24.61 | 60 |
| 1 1 1 | 24.92 | 60 |
| 4 0 0 | 30.65 | 14 |
| 0 0 2 | 32.76 | 11 |
| 2 2 1 | 41.47 | 9 |
| 5 1 1 | 46.14 | 14 |
| 6 0 0 | 46.70 | 11 |
| 0 2 2 | 48.15 | 17 |
| 1 1 -3 | 53.62 | 12 |

Structural model:
```
data_LiFeF4
_space_group_name_H-M_alt 'C 1 2/c 1'
_space_group_IT_number 15
_space_group_name_Hall '-C 2yc'
_cell_length_a 11.6739
_cell_length_b 5.2320
_cell_length_c 5.4682
_cell_angle_alpha 90.00
_cell_angle_beta 91.75
_cell_angle_gamma 90.00
loop_
_atom_site_label
_atom_site_fract_x
_atom_site_fract_y
_atom_site_fract_z
_atom_site_occupancy
Li1 0.0000 0.0529 0.2500 1
Fe1 0.2500 0.2500 0.0000 1
F1 0.0894 0.1545 0.9762 1
F2 0.2167 0.4409 0.3012 1
```

2.
For Li5Mn2P3O12, a cell relaxed with PBE+U gives the theoretical powder diffractogram in this record (copper Kα).
Lines closer than 0.1° are merged.

Main lines, sorted by position (2θ = 15–90°):
| (hkl) | two_theta | I_rel |
| --- | --- | --- |
| 0 1 -1 | 18.12 | 82 |
| 1 0 -1 | 19.10 | 78 |
| 1 1 2 | 19.70 | 86 |
| 0 0 2 | 22.36 | 100 |
| 1 -1 1 | 22.63 | 89 |
| 2 1 0 | 23.14 | 83 |
| 1 2 2 | 24.09 | 78 |
| 2 0 2 | 27.96 | 75 |
| -1 1 2 | 31.17 | 90 |
| 0 3 1 | 35.28 | 66 |

Structural model:
```
data_Li5Mn2P3O12
_space_group_name_H-M_alt 'P 1'
_space_group_IT_number 1
_space_group_name_Hall 'P 1'
_cell_length_a 8.6206
_cell_length_b 8.7853
_cell_length_c 9.1007
_cell_angle_alpha 66.53
_cell_angle_beta 63.76
_cell_angle_gamma 60.67
loop_
_atom_site_label
_atom_site_fract_x
_atom_site_fract_y
_atom_site_fract_z
_atom_site_occupancy
Li1 0.0000 0.0000 0.0000 1
Li2 0.0155 0.4234 0.5490 1
Li3 0.0605 0.5157 0.2395 1
Li4 0.2803 0.9375 0.2735 1
Li5 0.3226 0.8131 0.9951 1
Li6 0.5428 0.2355 0.0262 1
Li7 0.5822 0.3297 0.7170 1
Li8 0.6027 0.7522 0.2667 1
Li9 0.6481 0.0904 0.5026 1
Li10 0.9544 0.6602 0.7654 1
Mn1 0.1703 0.2730 0.0213 1
Mn2 0.4317 0.4778 0.2473 1
Mn3 0.6251 0.7257 0.6094 1
Mn4 0.9770 0.0259 0.6586 1
P1 0.0333 0.8041 0.3769 1
P2 0.2529 0.6345 0.8776 1
P3 0.3490 0.1174 0.3900 1
P4 0.5693 0.9471 0.8906 1
P5 0.7744 0.4068 0.3783 1
P6 0.8276 0.3450 0.8896 1
O1 0.0161 0.2323 0.9289 1
O2 0.0969 0.8477 0.4861 1
O3 0.1024 0.9055 0.1905 1
O4 0.1323 0.5962 0.3861 1
O5 0.1401 0.5391 0.8807 1
O6 0.1465 0.8419 0.8424 1
O7 0.1518 0.1762 0.5195 1
O8 0.2747 0.5761 0.0566 1
O9 0.3282 0.1763 0.2105 1
O10 0.4496 0.5760 0.7474 1
O11 0.4551 0.9099 0.4251 1
O12 0.4618 0.2121 0.3882 1
O13 0.4699 0.1550 0.8813 1
O14 0.5007 0.8459 0.0771 1
O15 0.5054 0.9032 0.7820 1
O16 0.5862 0.5197 0.3387 1
O17 0.6581 0.3849 0.0463 1
O18 0.7588 0.2345 0.5169 1
O19 0.7836 0.8909 0.8261 1
O20 0.7979 0.2196 0.8284 1
O21 0.8037 0.5319 0.4402 1
O22 0.8189 0.8604 0.4408 1
O23 0.8432 0.5172 0.7506 1
O24 0.9444 0.3675 0.2217 1
```